[1]
# KIn4Hg8
Computed powder X-ray diffraction pattern, CuKα. Input: DFT lattice parameters and positions (GGA-PBE).
No peak broadening, texture or thermal motion is included.

Crystal structure
Lattice parameters (Å, degrees): 15.9217 5.0597 11.3954 90.00 125.58 90.00
Space group Cm (No. 8)
Inequivalent atoms, fractional coordinates:
K 0.0000 0.0000 0.0000 [2 per cell]
In 0.1758 0.0000 0.4484 [2 per cell]
In 0.1872 0.5000 0.9088 [2 per cell]
In 0.3121 0.0000 0.0910 [2 per cell]
In 0.3241 0.5000 0.5515 [2 per cell]
Hg 0.0423 0.5000 0.2488 [2 per cell]
Hg 0.0548 0.0000 0.6822 [2 per cell]
Hg 0.1355 0.5000 0.5953 [2 per cell]
Hg 0.2085 0.5000 0.1969 [2 per cell]
Hg 0.2915 0.0000 0.8036 [2 per cell]
Hg 0.3649 0.0000 0.4050 [2 per cell]
Hg 0.4448 0.5000 0.3167 [2 per cell]
Hg 0.4572 0.0000 0.7508 [2 per cell]

Largest 12 diffraction maxima, in order of falling intensity, 10 to 90 degrees two-theta:
| 2θ (°) | Rel. int. | hkl |
| --- | --- | --- |
| 34.9 | 100 | 5 1 -1 |
| 31.1 | 95 | 1 1 -3 |
| 35.5 | 73 | 0 2 0 |
| 36.2 | 65 | 3 1 -4 |
| 33.3 | 53 | 5 1 -2 |
| 19.2 | 36 | 0 0 2 |
| 36.9 | 33 | 6 0 -4 |
| 38.9 | 23 | 2 0 3 |
| 52.1 | 22 | 6 2 -4 |
| 27.2 | 21 | 3 1 0 |
| 29.5 | 19 | 2 0 2 |
| 53.7 | 19 | 2 2 3 |

---

[2]
# Ho2Er6Th
Computed powder X-ray diffraction pattern, CuKα. Input: DFT lattice parameters and positions (GGA-PBE).
No peak broadening, texture or thermal motion is included.

Crystal structure
Lattice parameters (Å, degrees): 6.8524 6.8524 23.1414 90.00 90.00 120.00
Space group R3 (No. 146, hexagonal axes)
Inequivalent atoms, fractional coordinates:
Ho 0.0000 0.0000 0.0000 [3 per cell]
Ho 0.0000 0.0000 0.1598 [3 per cell]
Er 0.0080 0.5032 0.9619 [9 per cell]
Er 0.1671 0.8316 0.5174 [9 per cell]
Th 0.0000 0.0000 0.4047 [3 per cell]

Largest 12 diffraction maxima, in order of falling intensity, 10 to 90 degrees two-theta:
| 2θ (°) | Rel. int. | hkl |
| --- | --- | --- |
| 36.0 | 100 | 2 0 5 |
| 34.0 | 92 | 0 2 4 |
| 30.4 | 81 | 0 2 1 |
| 53.5 | 43 | 2 2 0 |
| 28.5 | 34 | 1 1 3 |
| 34.9 | 27 | 0 0 9 |
| 65.5 | 27 | 2 2 9 |
| 34.5 | 24 | 0 1 8 |
| 15.4 | 22 | 1 0 1 |
| 23.1 | 21 | 0 0 6 |
| 31.0 | 19 | 1 0 7 |
| 11.5 | 18 | 0 0 3 |

---

[3]
# Na4Tl2In2Hg
Computed powder X-ray diffraction pattern, CuKα. Input: DFT lattice parameters and positions (GGA-PBE).
No peak broadening, texture or thermal motion is included.

Crystal structure
Lattice parameters (Å, degrees): 5.8389 5.8860 7.6420 74.29 82.40 80.24
Space group P-1 (No. 2)
Inequivalent atoms, fractional coordinates:
Na 0.1068 0.0583 0.2810 [2 per cell]
Na 0.3181 0.1823 0.8239 [2 per cell]
Tl 0.4549 0.7206 0.6189 [2 per cell]
In 0.2283 0.6068 0.0522 [2 per cell]
Hg 0.0000 0.5000 0.5000 [1 per cell]

Largest 12 diffraction maxima, in order of falling intensity, 10 to 90 degrees two-theta:
| 2θ (°) | Rel. int. | hkl |
| --- | --- | --- |
| 32.2 | 100 | 1 2 1 |
| 32.5 | 97 | 0 1 -2 |
| 37.7 | 65 | 2 1 -1 |
| 15.8 | 48 | 0 1 0 |
| 12.1 | 36 | 0 0 1 |
| 37.2 | 34 | 1 1 3 |
| 20.9 | 29 | 1 1 1 |
| 54.3 | 23 | 1 3 -1 |
| 64.7 | 20 | 2 2 -3 |
| 53.6 | 15 | 0 3 3 |
| 54.1 | 14 | 3 2 2 |
| 24.3 | 14 | 0 0 2 |

---

[4]
# RbLaAgHg
Computed powder X-ray diffraction pattern, CuKα. Input: DFT lattice parameters and positions (GGA-PBE).
No peak broadening, texture or thermal motion is included.

Crystal structure
Lattice parameters (Å, degrees): 3.9974 3.9974 8.6191 90.00 90.00 90.00
Space group P4mm (No. 99)
Inequivalent atoms, fractional coordinates:
Rb 0.0000 0.0000 0.0000 [1 per cell]
La 0.0000 0.0000 0.4931 [1 per cell]
Ag 0.5000 0.5000 0.3116 [1 per cell]
Hg 0.5000 0.5000 0.6911 [1 per cell]

Largest 12 diffraction maxima, in order of falling intensity, 10 to 90 degrees two-theta:
| 2θ (°) | Rel. int. | hkl |
| --- | --- | --- |
| 30.5 | 100 | 1 0 2 |
| 31.7 | 63 | 1 1 0 |
| 10.3 | 46 | 0 0 1 |
| 55.7 | 36 | 2 1 2 |
| 38.6 | 28 | 1 0 3 |
| 45.4 | 23 | 2 0 0 |
| 61.0 | 15 | 2 1 3 |
| 33.4 | 12 | 1 1 1 |
| 75.2 | 10 | 3 1 0 |
| 45.0 | 10 | 1 1 3 |
| 24.5 | 10 | 1 0 1 |
| 74.5 | 8 | 3 0 2 |

---

[5]
# PrNiSnH2
Computed powder X-ray diffraction pattern, CuKα. Input: DFT lattice parameters and positions (GGA-PBE).
No peak broadening, texture or thermal motion is included.

Crystal structure
Lattice parameters (Å, degrees): 4.4027 4.4027 8.6431 90.00 90.00 120.00
Space group P6_3/mmc (No. 194)
Inequivalent atoms, fractional coordinates:
Pr 0.0000 0.0000 0.0000 [2 per cell]
Ni 0.3333 0.6667 0.2500 [2 per cell]
Sn 0.3333 0.6667 0.7500 [2 per cell]
H 0.3333 0.6667 0.0649 [4 per cell]

Largest 12 diffraction maxima, in order of falling intensity, 10 to 90 degrees two-theta:
| 2θ (°) | Rel. int. | hkl |
| --- | --- | --- |
| 31.3 | 100 | 1 0 2 |
| 41.0 | 48 | 1 1 0 |
| 60.0 | 31 | 1 1 4 |
| 52.5 | 23 | 2 0 2 |
| 68.7 | 21 | 2 1 2 |
| 41.8 | 15 | 0 0 4 |
| 89.5 | 11 | 3 0 4 |
| 69.8 | 10 | 1 0 6 |
| 74.7 | 8 | 3 0 0 |
| 25.5 | 7 | 1 0 1 |
| 84.3 | 6 | 2 0 6 |
| 88.9 | 5 | 2 2 0 |

---

[6]
# BaGe3Pd6
Computed powder X-ray diffraction pattern, CuKα. Input: DFT lattice parameters and positions (GGA-PBE).
No peak broadening, texture or thermal motion is included.

Crystal structure
Lattice parameters (Å, degrees): 5.8080 5.8080 18.9295 90.00 90.00 120.00
Space group R3 (No. 146, hexagonal axes)
Inequivalent atoms, fractional coordinates:
Ba 0.0000 0.0000 0.0000 [3 per cell]
Ge 0.0000 0.0000 0.2893 [3 per cell]
Ge 0.0000 0.0000 0.6263 [3 per cell]
Ge 0.0000 0.0000 0.8309 [3 per cell]
Pd 0.0051 0.5086 0.0631 [9 per cell]
Pd 0.1106 0.3374 0.1935 [9 per cell]

Largest 12 diffraction maxima, in order of falling intensity, 10 to 90 degrees two-theta:
| 2θ (°) | Rel. int. | hkl |
| --- | --- | --- |
| 36.0 | 100 | 0 2 1 |
| 43.2 | 86 | 2 0 5 |
| 42.3 | 75 | 2 -1 6 |
| 40.6 | 71 | 0 2 4 |
| 34.0 | 69 | 1 1 3 |
| 64.1 | 39 | 2 2 0 |
| 29.5 | 27 | 0 1 5 |
| 43.0 | 26 | 0 0 9 |
| 28.3 | 26 | 0 0 6 |
| 62.7 | 21 | 3 0 6 |
| 80.4 | 16 | 2 2 9 |
| 25.8 | 16 | 1 0 4 |